The following is a computed PXRD pattern of Ti3Fe2SbP6O24. It was derived from a cell relaxed with GGA+U, using copper Kα.
Peak positions follow from Bragg's law for the DFT cell and can differ from measured ones.

Structure:
a = 8.576 Å, b = 8.576 Å, c = 8.576 Å
α = 61.88°, β = 61.88°, γ = 61.88°
Fractional coordinates of all 36 atoms:
Ti (0.000, 0.000, 0.000)
Ti (0.210, 0.210, 0.210)
Ti (0.703, 0.703, 0.703)
Fe (0.354, 0.354, 0.354)
Fe (0.853, 0.853, 0.853)
Sb (0.503, 0.503, 0.503)
P (0.095, 0.814, 0.400)
P (0.291, 0.602, 0.910)
P (0.400, 0.095, 0.814)
P (0.602, 0.910, 0.291)
P (0.814, 0.400, 0.095)
P (0.910, 0.291, 0.602)
O (0.021, 0.871, 0.243)
O (0.101, 0.293, 0.444)
O (0.102, 0.763, 0.940)
O (0.161, 0.972, 0.363)
O (0.243, 0.021, 0.871)
O (0.252, 0.622, 0.403)
O (0.290, 0.537, 0.773)
O (0.293, 0.444, 0.101)
O (0.363, 0.161, 0.972)
O (0.403, 0.252, 0.622)
O (0.444, 0.101, 0.293)
O (0.463, 0.664, 0.838)
O (0.537, 0.773, 0.290)
O (0.593, 0.936, 0.793)
O (0.622, 0.403, 0.252)
O (0.664, 0.838, 0.463)
O (0.763, 0.940, 0.102)
O (0.773, 0.290, 0.537)
O (0.793, 0.593, 0.936)
O (0.838, 0.463, 0.664)
O (0.871, 0.243, 0.021)
O (0.936, 0.793, 0.593)
O (0.940, 0.102, 0.763)
O (0.972, 0.363, 0.161)

Largest 6 diffraction maxima, low angle first, 2θ from 10° to 90°:
2θ/deg, I/Imax
20.1, 95
24.0, 100
33.0, 85
35.3, 49
49.0, 36
61.8, 27